Entry 1:
Structure and theoretical X-ray powder pattern of ThTlIn2 (a crystal structure in Alexandria, relaxed with PBE; copper Kα).
Intensities are scaled so that the largest is 100.

The 10 most intense peaks (15° ≤ 2θ ≤ 90°), low angle first:
d [Å]	Rel. int.
3.950	25.2
2.901	36.6
2.877	100.0
2.638	54.3
2.623	96.7
2.559	99.8
2.513	30.7
1.666	45.8
1.450	25.2
1.416	32.7

Cell and atoms:
```
ThTlIn2
1.0
6.7174 0.0000 0.0000
0.0000 7.9006 0.0000
0.0000 0.0000 8.3973
Th Tl In
4 4 8
direct
0.0000 0.2500 0.0612 Th
0.0000 0.7500 0.9388 Th
0.5000 0.2500 0.4388 Th
0.5000 0.7500 0.5612 Th
0.0000 0.2500 0.4599 Tl
0.0000 0.7500 0.5401 Tl
0.5000 0.2500 0.0401 Tl
0.5000 0.7500 0.9599 Tl
0.2500 0.0574 0.7500 In
0.2500 0.4426 0.7500 In
0.2500 0.5574 0.2500 In
0.2500 0.9426 0.2500 In
0.7500 0.0574 0.7500 In
0.7500 0.4426 0.7500 In
0.7500 0.5574 0.2500 In
0.7500 0.9426 0.2500 In
```

---

Entry 2:
Structure and theoretical X-ray powder pattern of Th6Tl5In (a crystal structure in Alexandria, relaxed with PBE; copper Kα).
Intensities are scaled so that the largest is 100.

The 10 most intense peaks (15° ≤ 2θ ≤ 90°), low angle first:
d [Å]	Rel. int.
2.957	68.3
2.631	100.0
2.091	26.2
1.637	49.2
1.469	17.2
1.322	12.2
1.315	12.0
1.289	11.3
1.098	7.2
1.096	7.2

Cell and atoms:
```
Th6Tl5In
1.0
2.9544 -8.8793 0.0000
2.9544 8.8793 0.0000
0.0000 0.0000 6.7685
Th Tl In
6 5 1
direct
0.0000 0.0000 0.2488 Th
0.0000 0.0000 0.7512 Th
0.3342 0.6658 0.2495 Th
0.3342 0.6658 0.7505 Th
0.6658 0.3342 0.2495 Th
0.6658 0.3342 0.7505 Th
0.1671 0.8329 0.0000 Tl
0.1670 0.8330 0.5000 Tl
0.5000 0.5000 0.5000 Tl
0.8329 0.1671 0.0000 Tl
0.8330 0.1670 0.5000 Tl
0.5000 0.5000 0.0000 In
```

---

Entry 3:
Structure and theoretical X-ray powder pattern of Th15Tl4In (a crystal structure in Alexandria, relaxed with PBE; copper Kα).
Intensities are scaled so that the largest is 100.

The 10 most intense peaks (15° ≤ 2θ ≤ 90°), low angle first:
d [Å]	Rel. int.
2.864	100.0
2.480	50.9
1.754	36.7
1.496	29.4
1.494	14.6
1.432	12.7
1.139	6.3
1.138	12.6
1.110	5.9
1.109	5.9

Cell and atoms:
```
Th15Tl4In
1.0
4.9637 0.0000 0.0000
0.0000 4.9637 0.0000
0.0000 0.0000 24.7649
Th Tl In
15 4 1
direct
0.0000 0.0000 0.0000 Th
0.0000 0.0000 0.1997 Th
0.0000 0.0000 0.3999 Th
0.0000 0.0000 0.6001 Th
0.0000 0.0000 0.8003 Th
0.0000 0.5000 0.0994 Th
0.0000 0.5000 0.2999 Th
0.0000 0.5000 0.5000 Th
0.0000 0.5000 0.7001 Th
0.0000 0.5000 0.9006 Th
0.5000 0.0000 0.0994 Th
0.5000 0.0000 0.2999 Th
0.5000 0.0000 0.5000 Th
0.5000 0.0000 0.7001 Th
0.5000 0.0000 0.9006 Th
0.5000 0.5000 0.1999 Tl
0.5000 0.5000 0.4000 Tl
0.5000 0.5000 0.6000 Tl
0.5000 0.5000 0.8001 Tl
0.5000 0.5000 0.0000 In
```

---

Entry 4:
Structure and theoretical X-ray powder pattern of YThTlIn (a crystal structure in Alexandria, relaxed with PBE; copper Kα).
Intensities are scaled so that the largest is 100.

The 10 most intense peaks (15° ≤ 2θ ≤ 90°), low angle first:
d [Å]	Rel. int.
4.996	11.5
2.785	100.0
2.513	18.8
2.498	18.5
2.253	13.8
1.772	13.3
1.498	15.4
1.492	15.1
1.393	12.1
1.383	11.8

Cell and atoms:
```
YThTlIn
1.0
4.5068 0.0000 0.0000
0.0000 4.9957 0.0000
0.0000 0.0000 5.0256
Y Th Tl In
1 1 1 1
direct
0.0000 0.0000 0.0000 Y
0.0000 0.5000 0.5000 Th
0.5000 0.5000 0.0000 Tl
0.5000 0.0000 0.5000 In
```

---

Entry 5:
Structure and theoretical X-ray powder pattern of YThTlIn (a crystal structure in Alexandria, relaxed with PBE; copper Kα).
Intensities are scaled so that the largest is 100.

The 10 most intense peaks (15° ≤ 2θ ≤ 90°), low angle first:
d [Å]	Rel. int.
4.443	13.2
2.721	100.0
2.320	8.0
1.924	18.4
1.766	3.7
1.571	38.3
1.360	11.9
1.301	2.9
1.217	16.6
1.111	4.3

Cell and atoms:
```
YThTlIn
1.0
7.6958 0.0000 0.0000
0.0000 7.6958 0.0000
0.0000 0.0000 7.6958
Y Th Tl In
4 4 4 4
direct
0.0000 0.0000 0.0000 Y
0.0000 0.5000 0.5000 Y
0.5000 0.0000 0.5000 Y
0.5000 0.5000 0.0000 Y
0.0000 0.0000 0.5000 Th
0.0000 0.5000 0.0000 Th
0.5000 0.0000 0.0000 Th
0.5000 0.5000 0.5000 Th
0.2500 0.2500 0.2500 Tl
0.2500 0.7500 0.7500 Tl
0.7500 0.2500 0.7500 Tl
0.7500 0.7500 0.2500 Tl
0.2500 0.2500 0.7500 In
0.2500 0.7500 0.2500 In
0.7500 0.2500 0.2500 In
0.7500 0.7500 0.7500 In
```

---

Entry 6:
Structure and theoretical X-ray powder pattern of TmThIn (a crystal structure in Alexandria, relaxed with PBE; copper Kα).
Intensities are scaled so that the largest is 100.

The 10 most intense peaks (15° ≤ 2θ ≤ 90°), low angle first:
d [Å]	Rel. int.
3.470	8.1
2.820	100.0
2.537	38.4
2.281	12.8
1.794	13.8
1.696	20.8
1.514	30.9
1.410	11.3
1.400	9.7
1.104	9.5

Cell and atoms:
```
TmThIn
1.0
3.5877 0.0000 0.0000
0.0000 3.5877 0.0000
0.0000 0.0000 13.6832
Tm Th In
2 2 2
direct
0.0000 0.0000 0.0000 Tm
0.5000 0.5000 0.5000 Tm
0.0000 0.0000 0.3154 Th
0.5000 0.5000 0.8154 Th
0.0000 0.0000 0.6489 In
0.5000 0.5000 0.1489 In
```

---

Entry 7:
Structure and theoretical X-ray powder pattern of TmTh3In12 (a crystal structure in Alexandria, relaxed with PBE; copper Kα).
Intensities are scaled so that the largest is 100.

The 10 most intense peaks (15° ≤ 2θ ≤ 90°), low angle first:
d [Å]	Rel. int.
4.721	5.1
3.324	4.4
2.718	100.0
2.360	33.9
2.341	16.1
1.669	11.6
1.662	22.1
1.422	26.8
1.414	12.4
1.359	11.2

Cell and atoms:
```
TmTh3In12
1.0
4.7205 0.0000 0.0000
0.0000 4.7205 0.0000
0.0000 0.0000 18.7256
Tm Th In
1 3 12
direct
0.0000 0.0000 0.0000 Tm
0.0000 0.0000 0.2461 Th
0.0000 0.0000 0.5000 Th
0.0000 0.0000 0.7539 Th
0.0000 0.5000 0.1192 In
0.0000 0.5000 0.3731 In
0.0000 0.5000 0.6269 In
0.0000 0.5000 0.8808 In
0.5000 0.0000 0.1192 In
0.5000 0.0000 0.3731 In
0.5000 0.0000 0.6269 In
0.5000 0.0000 0.8808 In
0.5000 0.5000 0.0000 In
0.5000 0.5000 0.2472 In
0.5000 0.5000 0.5000 In
0.5000 0.5000 0.7528 In
```

---

Entry 8:
Structure and theoretical X-ray powder pattern of Tm4ThIn5 (a crystal structure in Alexandria, relaxed with PBE; copper Kα).
Intensities are scaled so that the largest is 100.

The 10 most intense peaks (15° ≤ 2θ ≤ 90°), low angle first:
d [Å]	Rel. int.
2.704	100.0
2.510	41.8
2.086	10.9
1.775	14.8
1.605	19.0
1.484	31.7
1.352	10.7
1.295	8.5
1.139	6.8
1.123	6.8

Cell and atoms:
```
Tm4ThIn5
1.0
3.5502 0.0000 0.0000
0.0000 3.5502 0.0000
0.0000 0.0000 20.8644
Tm Th In
4 1 5
direct
0.0000 0.0000 0.0978 Tm
0.0000 0.0000 0.2935 Tm
0.0000 0.0000 0.7065 Tm
0.0000 0.0000 0.9022 Tm
0.0000 0.0000 0.5000 Th
0.5000 0.5000 0.0000 In
0.5000 0.5000 0.1953 In
0.5000 0.5000 0.3906 In
0.5000 0.5000 0.6094 In
0.5000 0.5000 0.8047 In
```

---

Entry 9:
Structure and theoretical X-ray powder pattern of Tm7ThIn4 (a crystal structure in Alexandria, relaxed with PBE; copper Kα).
Intensities are scaled so that the largest is 100.

The 10 most intense peaks (15° ≤ 2θ ≤ 90°), low angle first:
d [Å]	Rel. int.
3.137	23.5
2.934	100.0
2.882	98.6
2.833	36.1
2.754	56.5
2.733	19.2
2.547	79.3
2.055	35.7
2.020	27.7
1.591	19.0

Cell and atoms:
```
Tm7ThIn4
1.0
7.2942 -2.8825 0.0000
7.2942 2.8825 0.0000
-4.8641 0.0000 8.1983
Tm Th In
7 1 4
direct
0.0000 0.0000 0.0000 Tm
0.2426 0.2426 0.6987 Tm
0.3010 0.3010 0.1233 Tm
0.4272 0.4272 0.5888 Tm
0.5728 0.5728 0.4112 Tm
0.6990 0.6990 0.8767 Tm
0.7574 0.7574 0.3013 Tm
0.5000 0.5000 0.0000 Th
0.0420 0.0420 0.7040 In
0.1824 0.1824 0.3378 In
0.8176 0.8176 0.6622 In
0.9580 0.9580 0.2960 In
```

---

Entry 10:
Structure and theoretical X-ray powder pattern of Th2VIn (a crystal structure in Alexandria, relaxed with PBE; copper Kα).
Intensities are scaled so that the largest is 100.

The 10 most intense peaks (15° ≤ 2θ ≤ 90°), low angle first:
d [Å]	Rel. int.
5.638	78.5
2.866	64.9
2.835	96.8
2.819	75.3
2.647	100.0
2.471	91.4
2.191	37.9
1.850	33.4
1.660	47.5
1.431	57.6

Cell and atoms:
```
Th2VIn
1.0
3.3208 0.0000 0.0000
-1.6604 2.8759 0.0000
0.0000 0.0000 33.8309
Th V In
6 3 3
direct
0.0000 0.0000 0.0820 Th
0.0000 0.0000 0.9180 Th
0.3333 0.6667 0.5847 Th
0.3333 0.6667 0.7487 Th
0.6667 0.3333 0.2513 Th
0.6667 0.3333 0.4153 Th
0.0000 0.0000 0.0000 V
0.3333 0.6667 0.6667 V
0.6667 0.3333 0.3333 V
0.0000 0.0000 0.5000 In
0.3333 0.6667 0.1667 In
0.6667 0.3333 0.8333 In
```

---

Entry 11:
Structure and theoretical X-ray powder pattern of Y7ThIn4 (a crystal structure in Alexandria, relaxed with PBE; copper Kα).
Intensities are scaled so that the largest is 100.

The 10 most intense peaks (15° ≤ 2θ ≤ 90°), low angle first:
d [Å]	Rel. int.
3.112	54.4
2.995	56.2
2.921	43.2
2.887	26.7
2.874	100.0
2.855	22.4
2.705	24.0
2.527	21.6
2.485	74.6
2.111	36.2

Cell and atoms:
```
Y7ThIn4
1.0
7.2444 -2.8740 0.0000
7.2444 2.8740 0.0000
-5.7098 0.0000 8.6598
Y Th In
7 1 4
direct
0.0000 0.0000 0.0000 Y
0.2223 0.2223 0.6655 Y
0.2910 0.2910 0.1188 Y
0.4360 0.4360 0.6061 Y
0.5640 0.5640 0.3939 Y
0.7090 0.7090 0.8812 Y
0.7777 0.7777 0.3345 Y
0.5000 0.5000 0.0000 Th
0.0577 0.0577 0.7524 In
0.1831 0.1831 0.3351 In
0.8169 0.8169 0.6649 In
0.9423 0.9423 0.2476 In
```

---

Entry 12:
Structure and theoretical X-ray powder pattern of YTh3In4 (a crystal structure in Alexandria, relaxed with PBE; copper Kα).
Intensities are scaled so that the largest is 100.

The 10 most intense peaks (15° ≤ 2θ ≤ 90°), low angle first:
d [Å]	Rel. int.
2.804	99.7
2.789	100.0
2.434	34.3
2.416	66.0
1.715	57.7
1.467	13.9
1.465	14.1
1.461	26.0
1.454	27.0
1.114	16.3

Cell and atoms:
```
YTh3In4
1.0
9.7364 0.0000 0.0000
0.0000 6.8598 0.0000
0.0000 0.0000 6.8047
Y Th In
2 6 8
direct
0.0000 0.0000 0.0000 Y
0.5000 0.0000 0.5000 Y
0.0000 0.5000 0.0000 Th
0.2500 0.2650 0.2500 Th
0.2500 0.7350 0.7500 Th
0.5000 0.5000 0.5000 Th
0.7500 0.2650 0.2500 Th
0.7500 0.7350 0.7500 Th
0.0000 0.0000 0.5000 In
0.0000 0.5000 0.5000 In
0.2500 0.2377 0.7500 In
0.2500 0.7623 0.2500 In
0.5000 0.0000 0.0000 In
0.5000 0.5000 0.0000 In
0.7500 0.2377 0.7500 In
0.7500 0.7623 0.2500 In
```